Record 1
Diffraction record for CsInBr3. The PXRD pattern is calculated, not measured: it uses DFT lattice parameters and positions (PBE) and Cu Kα, 1.54184 Å.
Peak positions follow from Bragg's law for the DFT cell and can differ from measured ones.

The 10 most intense peaks (10 to 90 degrees two-theta), in order of rising 2θ:
2theta, I/Imax
21.77, 54
26.74, 54
30.97, 100
38.18, 25
44.37, 72
52.57, 24
55.10, 25
59.94, 13
73.32, 32
81.70, 24

Crystal structure
```
data_CsInBr3
_chemical_formula_sum 'Cs1 In1 Br3'
_cell_length_a 5.7740
_cell_length_b 5.7740
_cell_length_c 5.7744
_cell_angle_alpha 90.00
_cell_angle_beta 90.00
_cell_angle_gamma 90.00
_space_group_name_H-M_alt 'P 1'
_space_group_IT_number 1
loop_
_space_group_symop_operation_xyz
'x,y,z'
loop_
_atom_site_label
_atom_site_fract_x
_atom_site_fract_y
_atom_site_fract_z
Cs1 0.0000 0.0000 0.0000
In1 0.5000 0.5000 0.5089
Br1 0.0000 0.5000 0.5079
Br2 0.5000 0.0000 0.5079
Br3 0.5000 0.5000 0.0083
```

Record 2
Diffraction record for CsInBr3. The PXRD pattern is calculated, not measured: it uses DFT lattice parameters and positions (PBE) and Cu Kα, 1.54184 Å.
Peak positions follow from Bragg's law for the DFT cell and can differ from measured ones.

The 10 most intense peaks (10 to 90 degrees two-theta), in order of rising 2θ:
2theta, I/Imax
21.53, 57
26.45, 54
30.63, 100
37.75, 25
43.87, 71
51.96, 22
54.45, 24
59.23, 15
72.41, 29
80.63, 22

Crystal structure
```
data_CsInBr3
_chemical_formula_sum 'Cs2 In2 Br6'
_cell_length_a 8.2549
_cell_length_b 8.2549
_cell_length_c 8.2549
_cell_angle_alpha 60.00
_cell_angle_beta 60.00
_cell_angle_gamma 60.00
_space_group_name_H-M_alt 'P 1'
_space_group_IT_number 1
loop_
_space_group_symop_operation_xyz
'x,y,z'
loop_
_atom_site_label
_atom_site_fract_x
_atom_site_fract_y
_atom_site_fract_z
Cs1 0.2500 0.2500 0.2500
Cs2 0.7500 0.7500 0.7500
In1 0.0000 0.0000 0.0000
In2 0.5000 0.5000 0.5000
Br1 0.2346 0.2346 0.7654
Br2 0.2346 0.7654 0.2346
Br3 0.2346 0.7654 0.7654
Br4 0.7654 0.2346 0.2346
Br5 0.7654 0.2346 0.7654
Br6 0.7654 0.7654 0.2346
```

Record 3
Diffraction record for CsInBr3. The PXRD pattern is calculated, not measured: it uses DFT lattice parameters and positions (PBE) and Cu Kα, 1.54184 Å.
Peak positions follow from Bragg's law for the DFT cell and can differ from measured ones.

The 10 most intense peaks (10 to 90 degrees two-theta), in order of rising 2θ:
2theta, I/Imax
21.84, 54
26.83, 54
31.08, 100
38.31, 25
44.53, 72
52.75, 24
55.30, 25
60.16, 13
73.61, 32
82.03, 24

Crystal structure
```
data_CsInBr3
_chemical_formula_sum 'Cs1 In1 Br3'
_cell_length_a 5.7549
_cell_length_b 5.7549
_cell_length_c 5.7554
_cell_angle_alpha 90.00
_cell_angle_beta 90.00
_cell_angle_gamma 90.00
_space_group_name_H-M_alt 'P 1'
_space_group_IT_number 1
loop_
_space_group_symop_operation_xyz
'x,y,z'
loop_
_atom_site_label
_atom_site_fract_x
_atom_site_fract_y
_atom_site_fract_z
Cs1 0.0000 0.0000 0.0000
In1 0.5000 0.5000 0.5081
Br1 0.0000 0.5000 0.5075
Br2 0.5000 0.0000 0.5075
Br3 0.5000 0.5000 0.0079
```

Record 4
Diffraction record for Cs3InBr6. The PXRD pattern is calculated, not measured: it uses DFT lattice parameters and positions (PBE) and Cu Kα, 1.54184 Å.
Peak positions follow from Bragg's law for the DFT cell and can differ from measured ones.

The 10 most intense peaks (10 to 90 degrees two-theta), in order of rising 2θ:
2theta, I/Imax
20.54, 68
25.23, 48
29.21, 100
35.98, 26
41.78, 68
46.99, 22
51.79, 22
56.29, 21
68.64, 24
76.29, 17

Crystal structure
```
data_Cs3InBr6
_chemical_formula_sum 'Cs3 In1 Br6'
_cell_length_a 8.6478
_cell_length_b 8.6478
_cell_length_c 8.6478
_cell_angle_alpha 60.00
_cell_angle_beta 60.00
_cell_angle_gamma 60.00
_space_group_name_H-M_alt 'P 1'
_space_group_IT_number 1
loop_
_space_group_symop_operation_xyz
'x,y,z'
loop_
_atom_site_label
_atom_site_fract_x
_atom_site_fract_y
_atom_site_fract_z
Cs1 0.0000 0.0000 0.0000
Cs2 0.2500 0.2500 0.2500
Cs3 0.7500 0.7500 0.7500
In1 0.5000 0.5000 0.5000
Br1 0.2783 0.2783 0.7217
Br2 0.2783 0.7217 0.2783
Br3 0.2783 0.7217 0.7217
Br4 0.7217 0.2783 0.2783
Br5 0.7217 0.2783 0.7217
Br6 0.7217 0.7217 0.2783
```

Record 5
Diffraction record for Cs2KInBr6. The PXRD pattern is calculated, not measured: it uses DFT lattice parameters and positions (PBE) and Cu Kα, 1.54184 Å.
Peak positions follow from Bragg's law for the DFT cell and can differ from measured ones.

The 10 most intense peaks (10 to 90 degrees two-theta), in order of rising 2θ:
2theta, I/Imax
13.03, 23
21.35, 42
26.22, 83
30.37, 100
37.42, 17
43.49, 70
51.49, 33
53.96, 23
71.71, 27
79.82, 19

Crystal structure
```
data_Cs2KInBr6
_chemical_formula_sum 'Cs2 K1 In1 Br6'
_cell_length_a 8.3244
_cell_length_b 8.3244
_cell_length_c 8.3244
_cell_angle_alpha 60.00
_cell_angle_beta 60.00
_cell_angle_gamma 60.00
_space_group_name_H-M_alt 'P 1'
_space_group_IT_number 1
loop_
_space_group_symop_operation_xyz
'x,y,z'
loop_
_atom_site_label
_atom_site_fract_x
_atom_site_fract_y
_atom_site_fract_z
Cs1 0.2500 0.2500 0.2500
Cs2 0.7500 0.7500 0.7500
K1 0.0000 0.0000 0.0000
In1 0.5000 0.5000 0.5000
Br1 0.2696 0.2696 0.7304
Br2 0.2696 0.7304 0.2696
Br3 0.2696 0.7304 0.7304
Br4 0.7304 0.2696 0.2696
Br5 0.7304 0.2696 0.7304
Br6 0.7304 0.7304 0.2696
```

Record 6
Diffraction record for Cs2LiInBr6. The PXRD pattern is calculated, not measured: it uses DFT lattice parameters and positions (PBE) and Cu Kα, 1.54184 Å.
Peak positions follow from Bragg's law for the DFT cell and can differ from measured ones.

The 10 most intense peaks (10 to 90 degrees two-theta), in order of rising 2θ:
2theta, I/Imax
13.83, 20
22.67, 30
27.86, 100
32.28, 97
46.30, 70
54.90, 43
57.57, 24
74.58, 17
76.87, 31
85.83, 24

Crystal structure
```
data_Cs2LiInBr6
_chemical_formula_sum 'Cs2 Li1 In1 Br6'
_cell_length_a 7.8438
_cell_length_b 7.8438
_cell_length_c 7.8438
_cell_angle_alpha 60.00
_cell_angle_beta 60.00
_cell_angle_gamma 60.00
_space_group_name_H-M_alt 'P 1'
_space_group_IT_number 1
loop_
_space_group_symop_operation_xyz
'x,y,z'
loop_
_atom_site_label
_atom_site_fract_x
_atom_site_fract_y
_atom_site_fract_z
Cs1 0.2500 0.2500 0.2500
Cs2 0.7500 0.7500 0.7500
Li1 0.0000 0.0000 0.0000
In1 0.5000 0.5000 0.5000
Br1 0.2541 0.2541 0.7459
Br2 0.2541 0.7459 0.2541
Br3 0.2541 0.7459 0.7459
Br4 0.7459 0.2541 0.2541
Br5 0.7459 0.2541 0.7459
Br6 0.7459 0.7459 0.2541
```

Record 7
Diffraction record for Cs2NaInBr6. The PXRD pattern is calculated, not measured: it uses DFT lattice parameters and positions (PBE) and Cu Kα, 1.54184 Å.
Peak positions follow from Bragg's law for the DFT cell and can differ from measured ones.

The 10 most intense peaks (10 to 90 degrees two-theta), in order of rising 2θ:
2theta, I/Imax
13.50, 20
22.14, 35
27.20, 92
31.51, 100
38.85, 16
45.16, 71
53.52, 39
56.11, 24
74.77, 30
83.38, 23

Crystal structure
```
data_Cs2NaInBr6
_chemical_formula_sum 'Cs2 Na1 In1 Br6'
_cell_length_a 8.0304
_cell_length_b 8.0304
_cell_length_c 8.0304
_cell_angle_alpha 60.00
_cell_angle_beta 60.00
_cell_angle_gamma 60.00
_space_group_name_H-M_alt 'P 1'
_space_group_IT_number 1
loop_
_space_group_symop_operation_xyz
'x,y,z'
loop_
_atom_site_label
_atom_site_fract_x
_atom_site_fract_y
_atom_site_fract_z
Cs1 0.2500 0.2500 0.2500
Cs2 0.7500 0.7500 0.7500
Na1 0.0000 0.0000 0.0000
In1 0.5000 0.5000 0.5000
Br1 0.2607 0.2607 0.7393
Br2 0.2607 0.7393 0.2607
Br3 0.2607 0.7393 0.7393
Br4 0.7393 0.2607 0.2607
Br5 0.7393 0.2607 0.7393
Br6 0.7393 0.7393 0.2607
```

Record 8
Diffraction record for CsRb2InBr6. The PXRD pattern is calculated, not measured: it uses DFT lattice parameters and positions (PBE) and Cu Kα, 1.54184 Å.
Peak positions follow from Bragg's law for the DFT cell and can differ from measured ones.

The 10 most intense peaks (10 to 90 degrees two-theta), in order of rising 2θ:
2theta, I/Imax
14.54, 43
20.62, 47
25.32, 39
29.32, 100
32.88, 17
36.12, 17
41.95, 67
47.18, 17
52.00, 22
68.94, 24

Crystal structure
```
data_CsRb2InBr6
_chemical_formula_sum 'Cs1 Rb2 In1 Br6'
_cell_length_a 8.6152
_cell_length_b 8.6152
_cell_length_c 8.6152
_cell_angle_alpha 60.00
_cell_angle_beta 60.00
_cell_angle_gamma 60.00
_space_group_name_H-M_alt 'P 1'
_space_group_IT_number 1
loop_
_space_group_symop_operation_xyz
'x,y,z'
loop_
_atom_site_label
_atom_site_fract_x
_atom_site_fract_y
_atom_site_fract_z
Cs1 0.0000 0.0000 0.0000
Rb1 0.2500 0.2500 0.2500
Rb2 0.7500 0.7500 0.7500
In1 0.5000 0.5000 0.5000
Br1 0.2778 0.2778 0.7222
Br2 0.2778 0.7222 0.2778
Br3 0.2778 0.7222 0.7222
Br4 0.7222 0.2778 0.2778
Br5 0.7222 0.2778 0.7222
Br6 0.7222 0.7222 0.2778
```